Entry 1:
Diffraction record for SmSb2Pd. The XRD peak list is calculated, not measured: it uses a DFT-relaxed cell (PBE, the Materials Project) and λ = 1.5418 Å (Cu Kα).
Neutral-atom scattering factors, no anomalous dispersion.

Crystal structure
Cell: 4.5048 4.5048 9.6668 Å, 90.00 90.00 90.00°
Space group P4/nmm (No. 129, origin choice 2)
Asymmetric unit:
1 Sm 0.2500 0.2500 0.2458 [2 per cell]
2 Sb 0.2500 0.2500 0.8429 [2 per cell]
3 Sb 0.2500 0.7500 0.5000 [2 per cell]
4 Pd 0.2500 0.7500 0.0000 [2 per cell]

Peak list (10 most intense, 15 to 90 degrees two-theta, by angle)
| 2θ/deg | Rel. int. |
| --- | --- |
| 27.06 | 10 |
| 33.70 | 100 |
| 34.21 | 15 |
| 37.20 | 9 |
| 40.03 | 43 |
| 51.43 | 12 |
| 55.79 | 11 |
| 57.90 | 14 |
| 67.10 | 10 |
| 68.69 | 25 |

Entry 2:
Diffraction record for ThSi2Pt2. The XRD peak list is calculated, not measured: it uses a DFT-relaxed cell (PBE, the Materials Project) and λ = 1.5418 Å (Cu Kα).
Neutral-atom scattering factors, no anomalous dispersion.

Crystal structure
Cell: 4.2777 4.2777 9.9040 Å, 90.00 90.00 90.00°
Space group P4/nmm (No. 129, origin choice 2)
Asymmetric unit:
1 Th 0.2500 0.2500 0.2492 [2 per cell]
2 Si 0.2500 0.2500 0.6341 [2 per cell]
3 Si 0.2500 0.7500 0.0000 [2 per cell]
4 Pt 0.2500 0.2500 0.8808 [2 per cell]
5 Pt 0.2500 0.7500 0.5000 [2 per cell]

Peak list (10 most intense, 15 to 90 degrees two-theta, by angle)
| 2θ/deg | Rel. int. |
| --- | --- |
| 27.55 | 25 |
| 30.91 | 59 |
| 34.31 | 84 |
| 34.75 | 100 |
| 42.25 | 69 |
| 50.82 | 37 |
| 55.52 | 43 |
| 61.29 | 24 |
| 68.16 | 25 |
| 72.42 | 25 |

Entry 3:
Diffraction record for PrB4Ru4. The XRD peak list is calculated, not measured: it uses a DFT-relaxed cell (PBE, the Materials Project) and λ = 1.5418 Å (Cu Kα).
Neutral-atom scattering factors, no anomalous dispersion.

Crystal structure
Cell: 7.5764 7.5764 15.1474 Å, 90.00 90.00 90.00°
Space group I4_1/acd (No. 142, origin choice 2)
Asymmetric unit:
1 Pr 0.0000 0.2500 0.1250 [8 per cell]
2 B 0.1433 0.0829 0.2932 [32 per cell]
3 Ru 0.1158 0.1056 0.4368 [32 per cell]

Peak list (10 most intense, 15 to 90 degrees two-theta, by angle)
| 2θ/deg | Rel. int. |
| --- | --- |
| 23.49 | 14 |
| 31.81 | 45 |
| 33.46 | 18 |
| 39.45 | 100 |
| 39.92 | 28 |
| 48.04 | 12 |
| 54.14 | 12 |
| 63.85 | 26 |
| 70.29 | 28 |
| 83.72 | 10 |

Entry 4:
Diffraction record for Ti2Se. The XRD peak list is calculated, not measured: it uses a DFT-relaxed cell (PBE, the Materials Project) and λ = 1.5418 Å (Cu Kα).
Neutral-atom scattering factors, no anomalous dispersion.

Crystal structure
Cell: 17.9493 3.4647 9.5106 Å, 90.00 90.00 90.00°
Space group Pnma (No. 62)
Asymmetric unit:
1 Ti 0.0134 0.2500 0.1111 [4 per cell]
2 Ti 0.0309 0.7500 0.3870 [4 per cell]
3 Ti 0.1066 0.2500 0.8498 [4 per cell]
4 Ti 0.1459 0.7500 0.0818 [4 per cell]
5 Ti 0.1602 0.2500 0.5416 [4 per cell]
6 Ti 0.2292 0.7500 0.7544 [4 per cell]
7 Se 0.0750 0.7500 0.6602 [4 per cell]
8 Se 0.1276 0.2500 0.2821 [4 per cell]
9 Se 0.2385 0.2500 0.9687 [4 per cell]

Peak list (10 most intense, 15 to 90 degrees two-theta, by angle)
| 2θ/deg | Rel. int. |
| --- | --- |
| 27.37 | 39 |
| 35.40 | 42 |
| 37.29 | 100 |
| 38.49 | 47 |
| 39.20 | 41 |
| 39.82 | 36 |
| 40.87 | 51 |
| 41.46 | 52 |
| 44.31 | 29 |
| 52.85 | 42 |

Entry 5:
Diffraction record for YSnGe. The XRD peak list is calculated, not measured: it uses a DFT-relaxed cell (PBE, the Materials Project) and λ = 1.5418 Å (Cu Kα).
Neutral-atom scattering factors, no anomalous dispersion.

Crystal structure
Cell: 4.2638 16.4217 4.1042 Å, 90.00 90.00 90.00°
Space group Cmcm (No. 63)
Asymmetric unit:
1 Y 0.0000 0.0945 0.2500 [4 per cell]
2 Sn 0.0000 0.2548 0.7500 [4 per cell]
3 Ge 0.0000 0.4465 0.2500 [4 per cell]

Peak list (10 most intense, 15 to 90 degrees two-theta, by angle)
| 2θ/deg | Rel. int. |
| --- | --- |
| 32.72 | 20 |
| 34.47 | 100 |
| 42.40 | 15 |
| 44.13 | 14 |
| 49.64 | 11 |
| 54.56 | 9 |
| 56.01 | 9 |
| 62.86 | 9 |
| 72.46 | 12 |
| 74.94 | 10 |

Entry 6:
Diffraction record for NaInH8N2F6. The XRD peak list is calculated, not measured: it uses a DFT-relaxed cell (PBE, the Materials Project) and λ = 1.5418 Å (Cu Kα).
Neutral-atom scattering factors, no anomalous dispersion.

Crystal structure
Cell: 8.7674 8.7674 8.7674 Å, 90.00 90.00 90.00°
Space group Fm-3m (No. 225)
Asymmetric unit:
1 Na 0.0000 0.0000 0.0000 [4 per cell]
2 In 0.0000 0.0000 0.5000 [4 per cell]
3 H 0.1822 0.1822 0.1822 [32 per cell]
4 N 0.2500 0.2500 0.2500 [8 per cell]
5 F 0.0000 0.0000 0.2583 [24 per cell]

Peak list (10 most intense, 15 to 90 degrees two-theta, by angle)
| 2θ/deg | Rel. int. |
| --- | --- |
| 17.52 | 87 |
| 20.26 | 100 |
| 28.80 | 76 |
| 33.91 | 46 |
| 41.19 | 60 |
| 46.31 | 52 |
| 51.03 | 26 |
| 54.37 | 18 |
| 59.66 | 34 |
| 63.68 | 24 |

Entry 7:
Diffraction record for BW4N9. The XRD peak list is calculated, not measured: it uses a DFT-relaxed cell (PBE, the Materials Project) and λ = 1.5418 Å (Cu Kα).
Neutral-atom scattering factors, no anomalous dispersion.

Crystal structure
Cell: 8.5701 8.5701 4.8536 Å, 90.00 90.00 120.00°
Space group P6_3 (No. 173)
Asymmetric unit:
1 B 0.0000 0.0000 0.0000 [2 per cell]
2 W 0.0354 0.6818 0.1901 [6 per cell]
3 W 0.3333 0.6667 0.6856 [2 per cell]
4 N 0.0947 0.8953 0.0003 [6 per cell]
5 N 0.1080 0.5613 0.9535 [6 per cell]
6 N 0.2180 0.4381 0.4980 [6 per cell]

Peak list (10 most intense, 15 to 90 degrees two-theta, by angle)
| 2θ/deg | Rel. int. |
| --- | --- |
| 27.77 | 100 |
| 30.32 | 29 |
| 36.31 | 45 |
| 37.03 | 31 |
| 46.32 | 20 |
| 52.85 | 41 |
| 57.35 | 16 |
| 60.24 | 14 |
| 61.24 | 11 |
| 65.33 | 9 |

Entry 8:
Diffraction record for Na5SiP3. The XRD peak list is calculated, not measured: it uses a DFT-relaxed cell (PBE, the Materials Project) and λ = 1.5418 Å (Cu Kα).
Neutral-atom scattering factors, no anomalous dispersion.

Crystal structure
Cell: 7.9566 7.3521 15.2919 Å, 90.00 120.59 90.00°
Space group P2_1/c (No. 14)
Asymmetric unit:
1 Na 0.0572 0.0088 0.2432 [4 per cell]
2 Na 0.2434 0.5290 0.5818 [4 per cell]
3 Na 0.3368 0.6543 0.2585 [4 per cell]
4 Na 0.3408 0.1630 0.9183 [4 per cell]
5 Na 0.4134 0.0174 0.5871 [4 per cell]
6 Si 0.0114 0.1382 0.5830 [4 per cell]
7 P 0.0197 0.1793 0.4347 [4 per cell]
8 P 0.2581 0.7419 0.4209 [4 per cell]
9 P 0.2971 0.2292 0.7201 [4 per cell]

Peak list (10 most intense, 15 to 90 degrees two-theta, by angle)
| 2θ/deg | Rel. int. |
| --- | --- |
| 32.55 | 81 |
| 32.93 | 75 |
| 33.18 | 28 |
| 33.65 | 75 |
| 33.84 | 100 |
| 36.00 | 29 |
| 38.44 | 75 |
| 39.47 | 38 |
| 39.95 | 36 |
| 41.15 | 76 |